(1)
For Ni3GeP, a structure optimized by DFT (GGA-PBE) gives the theoretical powder diffractogram in this record (Cu Kα (weighted mean of Kα1 and Kα2)).

Top 10 peaks for 2θ from 10° to 90°, sorted by position:
2θ = 30.70°, I = 25, hkl 1 1 -1; 2θ = 31.31°, I = 22, hkl 1 1 1; 2θ = 34.33°, I = 17, hkl 2 0 2; 2θ = 38.50°, I = 64, hkl 3 1 1; 2θ = 41.06°, I = 19, hkl 1 1 2; 2θ = 44.77°, I = 100, hkl 3 1 -2; 2θ = 45.41°, I = 29, hkl 6 0 0; 2θ = 46.30°, I = 45, hkl 5 1 0; 2θ = 47.41°, I = 41, hkl 3 1 2; 2θ = 53.73°, I = 41, hkl 0 2 0

Unit cell a=12.0270 b=3.4118 c=6.0675 alpha=90.00 beta=94.84 gamma=90.00
Space group Cm (No. 8)
Inequivalent atoms, fractional coordinates:
Ni: 0.0000 0.0000 0.0000
Ni: 0.0097 0.5000 0.3354
Ni: 0.1202 0.0000 0.6460
Ni: 0.1677 0.5000 0.0404
Ni: 0.3050 0.0000 0.4964
Ni: 0.3237 0.0000 0.9259
Ge: 0.3570 0.5000 0.2448
Ge: 0.4855 0.0000 0.7231
P: 0.1367 0.0000 0.2779
P: 0.2502 0.5000 0.7180

(2)
For UNi2GeP, a structure optimized by DFT (GGA-PBE) gives the theoretical powder diffractogram in this record (Cu Kα (weighted mean of Kα1 and Kα2)).

Top 10 peaks for 2θ from 10° to 90°, sorted by position:
2θ = 15.69°, I = 56, hkl 0 0 1; 2θ = 21.77°, I = 45, hkl 1 0 0; 2θ = 26.95°, I = 42, hkl 1 0 1; 2θ = 30.98°, I = 23, hkl 1 1 0; 2θ = 34.91°, I = 100, hkl 1 1 1; 2θ = 38.77°, I = 49, hkl 1 0 2; 2θ = 44.38°, I = 46, hkl 2 0 0; 2θ = 44.90°, I = 39, hkl 1 1 2; 2θ = 60.37°, I = 27, hkl 2 1 2; 2θ = 75.55°, I = 22, hkl 3 1 1

Unit cell a=4.0823 b=4.0823 c=5.6483 alpha=90.00 beta=90.00 gamma=90.00
Space group P4mm (No. 99)
Inequivalent atoms, fractional coordinates:
U: 0.0000 0.0000 0.0000
Ni: 0.0000 0.5000 0.3861
Ge: 0.5000 0.5000 0.1424
P: 0.0000 0.0000 0.5328

Which formula does entry 2 have? UNi2GeP